The following is a simulated X-ray diffraction stick pattern of MnN2F4. It was derived from a crystal structure in Alexandria, relaxed with GGA+U, using λ = 1.5418 Å (Cu Kα).
Intensities are scaled so that the largest is 100.

Main lines, by angle (2θ from 15° to 90°):
2θ 18.10, d 4.900, rel. 20
2θ 21.43, d 4.146, rel. 100
2θ 22.85, d 3.892, rel. 23
2θ 31.52, d 2.839, rel. 11
2θ 35.18, d 2.551, rel. 16
2θ 36.35, d 2.471, rel. 13
2θ 39.25, d 2.295, rel. 13
2θ 41.55, d 2.173, rel. 8
2θ 43.60, d 2.076, rel. 10
2θ 44.01, d 2.057, rel. 9
2θ 45.16, d 2.008, rel. 9
2θ 49.90, d 1.828, rel. 8

Crystal structure
a = 3.004 Å, b = 5.117 Å, c = 7.878 Å
α = 87.59°, β = 81.11°, γ = 73.27°
Space group P-1 (No. 2)
Asymmetric unit:
Mn  0.000  0.000  0.000 x1
N  0.433  0.585  0.547 x2
F  0.043  0.768  0.174 x2
F  0.367  0.189  0.100 x2